No. 1
Structure and computed powder X-ray diffraction pattern of K2CeI8 (a DFT-relaxed cell (GGA-PBE, Alexandria); λ = 1.5418 Å (Cu Kα)).
Neutral-atom scattering factors, no anomalous dispersion.

Principal peaks in the range 10 to 90 degrees two-theta, low angle first:
2θ/deg	I/Imax
11.95	86
14.19	75
21.60	100
22.20	57
26.75	62
28.03	64
29.42	87
37.11	78
37.94	48
39.25	50

Cell and atoms:
```
K2CeI8
1.0
7.650 -6.240 0.000
7.650 6.240 0.000
-1.603 0.000 6.187
K Ce I
2 1 8
direct
0.219 0.219 0.086
0.781 0.781 0.914
0.500 0.500 0.000
0.007 0.007 0.257
0.235 0.588 0.198
0.322 0.322 0.649
0.412 0.765 0.802
0.588 0.235 0.198
0.678 0.678 0.351
0.765 0.412 0.802
0.993 0.993 0.743
```

No. 2
Structure and computed powder X-ray diffraction pattern of V3FeOs3 (a DFT-relaxed cell (GGA-PBE, Alexandria); λ = 1.5418 Å (Cu Kα)).
Neutral-atom scattering factors, no anomalous dispersion.

Principal peaks in the range 10 to 90 degrees two-theta, low angle first:
2θ/deg	I/Imax
30.37	26
30.88	47
43.20	27
43.86	100
45.26	21
53.72	11
64.35	15
71.98	9
79.67	25
82.61	13

Cell and atoms:
```
V3FeOs3
1.0
4.007 -4.189 0.000
4.007 4.189 0.000
0.000 0.000 5.886
V Fe Os
6 2 6
direct
0.000 0.000 0.249
0.000 0.000 0.751
0.000 0.500 0.242
0.000 0.500 0.758
0.500 0.000 0.242
0.500 0.000 0.758
0.247 0.753 0.000
0.753 0.247 0.000
0.257 0.743 0.500
0.266 0.266 0.000
0.267 0.267 0.500
0.733 0.733 0.500
0.734 0.734 0.000
0.743 0.257 0.500
```

No. 3
Structure and computed powder X-ray diffraction pattern of RbCaCd17 (a DFT-relaxed cell (GGA-PBE, Alexandria); λ = 1.5418 Å (Cu Kα)).
Neutral-atom scattering factors, no anomalous dispersion.

Principal peaks in the range 10 to 90 degrees two-theta, low angle first:
2θ/deg	I/Imax
17.16	25
29.95	30
30.86	30
34.72	56
34.89	100
35.41	35
35.69	32
39.13	100
39.60	30
62.23	27

Cell and atoms:
```
RbCaCd17
1.0
5.168 2.984 5.070
-5.168 2.984 5.070
0.000 -5.967 5.070
Rb Ca Cd
1 1 17
direct
0.000 0.000 0.000
0.673 0.673 0.673
0.041 0.342 0.634
0.041 0.634 0.342
0.202 0.689 0.689
0.246 0.246 0.246
0.329 0.329 0.851
0.329 0.851 0.329
0.342 0.041 0.634
0.342 0.634 0.041
0.446 0.446 0.446
0.516 0.973 0.973
0.634 0.041 0.342
0.634 0.342 0.041
0.689 0.202 0.689
0.689 0.689 0.202
0.851 0.329 0.329
0.973 0.516 0.973
0.973 0.973 0.516
```